This entry pairs a crystal structure of EuVO3 with its computed PXRD pattern. Radiation: Cu Kα (λ = 1.5418 Å). Structure: DFT lattice parameters and positions (GGA+U).
Kinematic intensities with the Lorentz-polarization factor, no thermal factor.

```
data_EuVO3
_chemical_formula_sum 'Eu2 V2 O6'
_cell_length_a 5.4556
_cell_length_b 5.5212
_cell_length_c 3.9256
_cell_angle_alpha 90.00
_cell_angle_beta 90.31
_cell_angle_gamma 90.00
_symmetry_space_group_name_H-M 'C 1 2/m 1'
_symmetry_Int_Tables_number 12
_symmetry_space_group_name_Hall '-C 2y'
loop_
_atom_site_label
_atom_site_fract_x
_atom_site_fract_y
_atom_site_fract_z
Eu1 0.0000 0.0000 0.0000
V1 0.0000 0.5000 0.5000
O1 0.0000 0.5000 0.0000
O2 0.2500 0.2500 0.5000
```

Largest 6 diffraction maxima, low angle first, 2θ from 10° to 90°:
two_theta  I/Imax  (hkl)
22.92  31  1 1 0
32.40  100  0 2 0
32.51  66  1 1 1
32.83  32  2 0 0
46.82  42  2 2 0
57.86  25  1 3 1